The following is a calculated X-ray powder pattern of Ho12TmNi6. It was derived from DFT lattice parameters and positions (GGA-PBE), using Cu Kα.
Peak positions follow from Bragg's law for the DFT cell and can differ from measured ones.

Principal peaks in the range 10° ≤ 2θ ≤ 90°, low angle first:
two_theta  I_rel  hkl
28.86  51.0  3 0 1
31.68  33.6  2 2 2
34.30  100.0  3 1 2
47.38  22.9  5 0 1
54.71  33.0  5 3 0
56.43  15.4  6 0 0
58.13  33.7  5 2 3
67.73  16.1  5 3 4
83.93  17.5  6 6 0
85.36  16.0  8 3 1

Cell and atoms:
Lattice parameters (Å, degrees): 9.7831 9.7831 9.7831 90.00 90.00 90.00
Space group Im-3 (No. 204)
Unique sites:
Ho: 0.0000 0.3104 0.1843 [24 per cell]
Tm: 0.0000 0.0000 0.0000 [2 per cell]
Ni: 0.0000 0.1236 0.5000 [12 per cell]



The following is a calculated X-ray powder pattern of Nd2ZrS5. It was derived from DFT lattice parameters and positions (GGA-PBE), using Cu Kα.
Peak positions follow from Bragg's law for the DFT cell and can differ from measured ones.

Principal peaks in the range 10° ≤ 2θ ≤ 90°, low angle first:
two_theta  I_rel  hkl
24.03  51.3  0 0 2
25.82  100.0  3 0 1
26.42  55.4  1 2 1
26.98  49.7  2 2 0
32.93  39.6  0 2 2
33.84  36.5  1 2 2
34.30  68.9  3 2 1
36.44  71.3  2 2 2
46.59  59.7  6 0 0
52.86  34.4  3 4 1

Cell and atoms:
Lattice parameters (Å, degrees): 11.7003 8.0108 7.4069 90.00 90.00 90.00
Space group Pnma (No. 62)
Unique sites:
Nd: 0.1767 0.0014 0.0330 [8 per cell]
Zr: 0.0082 0.7500 0.5763 [4 per cell]
S: 0.0042 0.7500 0.9444 [4 per cell]
S: 0.0869 0.0361 0.6644 [8 per cell]
S: 0.1840 0.7500 0.3408 [4 per cell]
S: 0.2065 0.2500 0.3194 [4 per cell]



The following is a calculated X-ray powder pattern of Dy3Ge2Pd7. It was derived from DFT lattice parameters and positions (GGA-PBE), using Cu Kα.
Peak positions follow from Bragg's law for the DFT cell and can differ from measured ones.

Principal peaks in the range 10° ≤ 2θ ≤ 90°, low angle first:
two_theta  I_rel  hkl
31.30  25.0  1 1 0
31.99  24.2  1 1 2
36.90  32.1  1 0 9
37.08  100.0  1 1 6
41.09  22.5  1 1 8
42.54  35.8  1 0 11
44.85  65.4  2 0 0
63.53  21.7  2 1 11
65.30  21.0  2 2 0
77.55  22.9  3 1 6

Cell and atoms:
Lattice parameters (Å, degrees): 4.0416 4.0416 27.4798 90.00 90.00 90.00
Space group I4/mmm (No. 139)
Unique sites:
Dy: 0.0000 0.0000 0.0000 [2 per cell]
Dy: 0.0000 0.0000 0.1740 [4 per cell]
Ge: 0.0000 0.0000 0.3688 [4 per cell]
Pd: 0.0000 0.0000 0.2775 [4 per cell]
Pd: 0.0000 0.0000 0.5000 [2 per cell]
Pd: 0.0000 0.5000 0.0782 [8 per cell]



The following is a calculated X-ray powder pattern of Ca2AcInP. It was derived from DFT lattice parameters and positions (GGA-PBE), using Cu Kα.
Peak positions follow from Bragg's law for the DFT cell and can differ from measured ones.

Principal peaks in the range 10° ≤ 2θ ≤ 90°, low angle first:
two_theta  I_rel  hkl
14.83  31.1  0 0 1
16.37  20.3  1 0 0
23.23  39.8  1 1 0
27.67  100.0  1 1 1
29.91  27.6  0 0 2
33.09  42.2  2 0 0
38.21  22.5  1 1 2
45.20  34.9  2 0 2
51.74  17.6  1 1 3
55.85  27.9  3 1 1

Cell and atoms:
Lattice parameters (Å, degrees): 5.4149 5.4149 5.9746 90.00 90.00 90.00
Space group P4mm (No. 99)
Unique sites:
Ca: 0.0000 0.5000 0.0000 [2 per cell]
Ac: 0.0000 0.0000 0.5004 [1 per cell]
In: 0.5000 0.5000 0.5017 [1 per cell]
P: 0.0000 0.0000 0.0005 [1 per cell]



The following is a calculated X-ray powder pattern of Li3PuPd7. It was derived from DFT lattice parameters and positions (GGA-PBE), using Cu Kα.
Peak positions follow from Bragg's law for the DFT cell and can differ from measured ones.

Principal peaks in the range 10° ≤ 2θ ≤ 90°, low angle first:
two_theta  I_rel  hkl
15.25  79.5  1 1 0
23.55  53.4  2 0 -1
30.78  77.3  2 2 0
34.39  44.7  1 3 -1
35.13  65.1  2 0 -2
37.06  70.0  3 1 0
39.62  71.1  0 4 0
40.53  74.6  2 2 1
41.51  37.2  3 1 -2
41.88  100.0  0 2 2

Cell and atoms:
Lattice parameters (Å, degrees): 8.1861 9.0987 5.3118 90.00 112.72 90.00
Space group C2/m (No. 12)
Unique sites:
Li: 0.0000 0.0000 0.0000 [2 per cell]
Li: 0.0000 0.2278 0.5000 [4 per cell]
Pu: 0.0000 0.5000 0.0000 [2 per cell]
Pd: 0.0000 0.5000 0.5000 [2 per cell]
Pd: 0.1807 0.0000 0.5444 [4 per cell]
Pd: 0.1870 0.2278 0.1982 [8 per cell]



The following is a calculated X-ray powder pattern of BaSr2Th. It was derived from DFT lattice parameters and positions (GGA-PBE), using Cu Kα.
Peak positions follow from Bragg's law for the DFT cell and can differ from measured ones.

Principal peaks in the range 10° ≤ 2θ ≤ 90°, low angle first:
two_theta  I_rel  hkl
12.12  32.7  0 0 6
24.38  63.1  0 0 12
26.96  30.9  1 0 1
27.20  100.0  0 1 2
28.11  32.8  1 0 4
31.54  25.0  0 1 8
33.90  57.3  1 0 10
39.60  36.5  0 1 14
47.48  31.7  1 1 0
54.08  43.2  1 1 12

Cell and atoms:
Lattice parameters (Å, degrees): 3.8295 3.8295 43.8037 90.00 90.00 120.00
Space group R-3m (No. 166, hexagonal axes)
Unique sites:
Ba: 0.0000 0.0000 0.0000 [3 per cell]
Sr: 0.0000 0.0000 0.4164 [6 per cell]
Th: 0.0000 0.0000 0.5000 [3 per cell]